Record 1
Diffraction record for CuNi5Pt. The PXRD pattern is computed, not measured: it uses a structure optimized by DFT (PBE) and Cu Kα.
Peak positions follow from Bragg's law for the DFT cell and can differ from measured ones.

Cell and atoms:
a = 4.946 Å, b = 7.242 Å, c = 5.002 Å
α = 90.00°, β = 90.00°, γ = 90.00°
Positions (direct):
1 Cu 0.000 0.000 0.000
2 Cu 0.500 0.500 0.000
3 Ni 0.000 0.500 0.000
4 Ni 0.250 0.250 0.248
5 Ni 0.250 0.250 0.752
6 Ni 0.250 0.750 0.248
7 Ni 0.250 0.750 0.752
8 Ni 0.500 0.000 0.000
9 Ni 0.750 0.250 0.248
10 Ni 0.750 0.250 0.752
11 Ni 0.750 0.750 0.248
12 Ni 0.750 0.750 0.752
13 Pt 0.000 0.500 0.500
14 Pt 0.500 0.000 0.500

Largest 10 diffraction maxima, by angle, 10° ≤ 2θ ≤ 80°:
| two_theta | Rel. int. |
| --- | --- |
| 21.8 | 65 |
| 28.2 | 74 |
| 41.6 | 12 |
| 42.4 | 23 |
| 44.0 | 100 |
| 44.4 | 98 |
| 45.6 | 21 |
| 50.4 | 33 |
| 52.0 | 60 |
| 75.3 | 38 |

Record 2
Diffraction record for Pm2MgSi3. The PXRD pattern is computed, not measured: it uses a structure optimized by DFT (PBE) and Cu Kα.
Peak positions follow from Bragg's law for the DFT cell and can differ from measured ones.

Cell and atoms:
a = 4.075 Å, b = 4.328 Å, c = 14.735 Å
α = 90.00°, β = 90.00°, γ = 90.00°
Positions (direct):
1 Pm 0.000 0.000 0.000
2 Pm 0.000 0.500 0.270
3 Pm 0.500 0.000 0.770
4 Pm 0.500 0.500 0.500
5 Mg 0.000 0.000 0.597
6 Mg 0.500 0.500 0.097
7 Si 0.000 0.000 0.426
8 Si 0.000 0.500 0.685
9 Si 0.000 0.500 0.843
10 Si 0.500 0.000 0.185
11 Si 0.500 0.000 0.343
12 Si 0.500 0.500 0.926

Largest 10 diffraction maxima, by angle, 10° ≤ 2θ ≤ 80°:
| two_theta | Rel. int. |
| --- | --- |
| 21.4 | 25 |
| 24.2 | 23 |
| 27.5 | 18 |
| 28.5 | 33 |
| 32.5 | 100 |
| 36.9 | 32 |
| 41.7 | 17 |
| 48.7 | 16 |
| 51.3 | 19 |
| 59.1 | 19 |

Record 3
Diffraction record for V7GaC2. The PXRD pattern is computed, not measured: it uses a structure optimized by DFT (PBE) and Cu Kα.
Peak positions follow from Bragg's law for the DFT cell and can differ from measured ones.

Cell and atoms:
a = 6.097 Å, b = 6.097 Å, c = 3.956 Å
α = 90.00°, β = 90.00°, γ = 116.54°
Positions (direct):
1 V 0.000 0.000 0.000
2 V 0.163 0.431 0.000
3 V 0.233 0.767 0.500
4 V 0.431 0.163 0.000
5 V 0.569 0.837 0.000
6 V 0.767 0.233 0.500
7 V 0.837 0.569 0.000
8 Ga 0.500 0.500 0.500
9 C 0.206 0.794 0.000
10 C 0.794 0.206 0.000

Largest 10 diffraction maxima, by angle, 10° ≤ 2θ ≤ 80°:
| two_theta | Rel. int. |
| --- | --- |
| 22.5 | 25 |
| 27.9 | 42 |
| 36.1 | 95 |
| 37.3 | 84 |
| 41.7 | 77 |
| 45.0 | 100 |
| 45.9 | 62 |
| 49.2 | 50 |
| 50.2 | 18 |
| 66.2 | 56 |

Record 4
Diffraction record for Ag3I2Br8. The PXRD pattern is computed, not measured: it uses a structure optimized by DFT (PBE) and Cu Kα.
Peak positions follow from Bragg's law for the DFT cell and can differ from measured ones.

Cell and atoms:
a = 9.091 Å, b = 9.091 Å, c = 17.592 Å
α = 97.86°, β = 97.86°, γ = 50.79°
Positions (direct):
1 Ag 0.111 0.521 0.570
2 Ag 0.120 0.880 0.750
3 Ag 0.479 0.889 0.930
4 Ag 0.521 0.111 0.070
5 Ag 0.880 0.120 0.250
6 Ag 0.889 0.479 0.430
7 I 0.093 0.446 0.878
8 I 0.446 0.093 0.378
9 I 0.554 0.907 0.622
10 I 0.907 0.554 0.122
11 Br 0.099 0.111 0.377
12 Br 0.102 0.763 0.874
13 Br 0.111 0.099 0.877
14 Br 0.218 0.474 0.428
15 Br 0.237 0.898 0.626
16 Br 0.273 0.355 0.175
17 Br 0.355 0.273 0.675
18 Br 0.474 0.218 0.928
19 Br 0.526 0.782 0.072
20 Br 0.645 0.727 0.325
21 Br 0.727 0.645 0.825
22 Br 0.763 0.102 0.374
23 Br 0.782 0.526 0.572
24 Br 0.889 0.901 0.123
25 Br 0.898 0.237 0.126
26 Br 0.901 0.889 0.623

Largest 10 diffraction maxima, by angle, 10° ≤ 2θ ≤ 80°:
| two_theta | Rel. int. |
| --- | --- |
| 10.9 | 82 |
| 13.3 | 63 |
| 19.2 | 62 |
| 20.0 | 75 |
| 20.4 | 100 |
| 26.2 | 57 |
| 31.0 | 47 |
| 33.9 | 48 |
| 37.6 | 45 |
| 48.3 | 45 |

Record 5
Diffraction record for Fe2PS. The PXRD pattern is computed, not measured: it uses a structure optimized by DFT (PBE) and Cu Kα.
Peak positions follow from Bragg's law for the DFT cell and can differ from measured ones.

Cell and atoms:
a = 4.946 Å, b = 4.946 Å, c = 9.914 Å
α = 90.00°, β = 90.00°, γ = 90.00°
Positions (direct):
1 Fe 0.246 0.250 0.125
2 Fe 0.250 0.746 0.375
3 Fe 0.250 0.754 0.875
4 Fe 0.254 0.250 0.625
5 Fe 0.746 0.750 0.625
6 Fe 0.750 0.246 0.875
7 Fe 0.750 0.254 0.375
8 Fe 0.754 0.750 0.125
9 P 0.000 0.000 0.500
10 P 0.000 0.500 0.750
11 P 0.500 0.000 0.250
12 P 0.500 0.500 0.000
13 S 0.000 0.000 0.000
14 S 0.000 0.500 0.250
15 S 0.500 0.000 0.750
16 S 0.500 0.500 0.500

Largest 8 diffraction maxima, by angle, 10° ≤ 2θ ≤ 80°:
| two_theta | Rel. int. |
| --- | --- |
| 31.3 | 100 |
| 36.3 | 8 |
| 52.3 | 58 |
| 62.1 | 12 |
| 62.2 | 24 |
| 65.3 | 2 |
| 76.9 | 3 |
| 77.1 | 6 |

Record 6
Diffraction record for Ca3AgH2. The PXRD pattern is computed, not measured: it uses a structure optimized by DFT (PBE) and Cu Kα.
Peak positions follow from Bragg's law for the DFT cell and can differ from measured ones.

Cell and atoms:
a = 7.308 Å, b = 7.308 Å, c = 5.107 Å
α = 90.00°, β = 90.00°, γ = 104.21°
Positions (direct):
1 Ca 0.108 0.892 0.750
2 Ca 0.178 0.409 0.750
3 Ca 0.409 0.178 0.250
4 Ca 0.591 0.822 0.750
5 Ca 0.822 0.591 0.250
6 Ca 0.892 0.108 0.250
7 Ag 0.303 0.697 0.250
8 Ag 0.697 0.303 0.750
9 H 0.152 0.152 0.000
10 H 0.152 0.152 0.500
11 H 0.848 0.848 0.000
12 H 0.848 0.848 0.500

Largest 10 diffraction maxima, by angle, 10° ≤ 2θ ≤ 80°:
| two_theta | Rel. int. |
| --- | --- |
| 15.4 | 11 |
| 21.4 | 21 |
| 25.2 | 28 |
| 30.7 | 100 |
| 35.1 | 20 |
| 35.6 | 21 |
| 43.7 | 12 |
| 49.9 | 11 |
| 60.3 | 13 |
| 62.5 | 10 |

Record 7
Diffraction record for Ce2CrCo3As4. The PXRD pattern is computed, not measured: it uses a structure optimized by DFT (PBE) and Cu Kα.
Peak positions follow from Bragg's law for the DFT cell and can differ from measured ones.

Cell and atoms:
a = 4.152 Å, b = 4.152 Å, c = 9.573 Å
α = 90.00°, β = 90.00°, γ = 90.00°
Positions (direct):
1 Ce 0.000 0.500 0.242
2 Ce 0.500 0.000 0.758
3 Cr 0.000 0.000 0.500
4 Co 0.000 0.500 0.887
5 Co 0.500 0.000 0.113
6 Co 0.500 0.500 0.500
7 As 0.000 0.000 0.000
8 As 0.000 0.500 0.641
9 As 0.500 0.000 0.359
10 As 0.500 0.500 0.000

Largest 10 diffraction maxima, by angle, 10° ≤ 2θ ≤ 80°:
| two_theta | Rel. int. |
| --- | --- |
| 30.5 | 20 |
| 35.5 | 67 |
| 35.9 | 100 |
| 43.6 | 67 |
| 52.6 | 23 |
| 57.4 | 33 |
| 63.4 | 23 |
| 66.7 | 12 |
| 70.7 | 19 |
| 75.0 | 22 |

Record 8
Diffraction record for Sr3Zn2Pt3. The PXRD pattern is computed, not measured: it uses a structure optimized by DFT (PBE) and Cu Kα.
Peak positions follow from Bragg's law for the DFT cell and can differ from measured ones.

Cell and atoms:
a = 6.106 Å, b = 6.106 Å, c = 14.965 Å
α = 90.00°, β = 90.00°, γ = 137.22°
Positions (direct):
1 Sr 0.083 0.917 0.610
2 Sr 0.083 0.917 0.890
3 Sr 0.368 0.632 0.750
4 Sr 0.632 0.368 0.250
5 Sr 0.917 0.083 0.110
6 Sr 0.917 0.083 0.390
7 Zn 0.216 0.784 0.087
8 Zn 0.216 0.784 0.413
9 Zn 0.784 0.216 0.587
10 Zn 0.784 0.216 0.913
11 Pt 0.323 0.677 0.250
12 Pt 0.388 0.612 0.540
13 Pt 0.388 0.612 0.960
14 Pt 0.612 0.388 0.040
15 Pt 0.612 0.388 0.460
16 Pt 0.677 0.323 0.750

Largest 10 diffraction maxima, by angle, 10° ≤ 2θ ≤ 80°:
| two_theta | Rel. int. |
| --- | --- |
| 21.4 | 40 |
| 23.7 | 44 |
| 31.0 | 35 |
| 31.5 | 88 |
| 32.2 | 100 |
| 36.0 | 77 |
| 39.4 | 52 |
| 40.5 | 60 |
| 43.6 | 33 |
| 46.4 | 33 |

Record 9
Diffraction record for La2HgBr. The PXRD pattern is computed, not measured: it uses a structure optimized by DFT (PBE) and Cu Kα.
Peak positions follow from Bragg's law for the DFT cell and can differ from measured ones.

Cell and atoms:
a = 22.577 Å, b = 4.233 Å, c = 5.245 Å
α = 90.00°, β = 90.00°, γ = 90.00°
Positions (direct):
1 La 0.020 0.250 0.249
2 La 0.159 0.750 0.247
3 La 0.341 0.250 0.747
4 La 0.480 0.750 0.749
5 La 0.520 0.250 0.251
6 La 0.659 0.750 0.253
7 La 0.841 0.250 0.753
8 La 0.980 0.750 0.751
9 Hg 0.103 0.250 0.749
10 Hg 0.397 0.750 0.249
11 Hg 0.603 0.250 0.751
12 Hg 0.897 0.750 0.251
13 Br 0.236 0.750 0.747
14 Br 0.264 0.250 0.247
15 Br 0.736 0.750 0.753
16 Br 0.764 0.250 0.253

Largest 10 diffraction maxima, by angle, 10° ≤ 2θ ≤ 80°:
| two_theta | Rel. int. |
| --- | --- |
| 26.3 | 34 |
| 31.4 | 100 |
| 34.2 | 30 |
| 36.1 | 38 |
| 42.7 | 16 |
| 43.7 | 18 |
| 55.8 | 15 |
| 57.2 | 21 |
| 59.5 | 16 |
| 64.8 | 14 |

Record 10
Diffraction record for SrSiPd3. The PXRD pattern is computed, not measured: it uses a structure optimized by DFT (PBE) and Cu Kα.
Peak positions follow from Bragg's law for the DFT cell and can differ from measured ones.

Cell and atoms:
a = 6.662 Å, b = 6.662 Å, c = 6.662 Å
α = 128.25°, β = 92.51°, γ = 109.70°
Positions (direct):
1 Sr 0.297 0.047 0.250
2 Sr 0.703 0.953 0.750
3 Si 0.000 0.500 0.500
4 Si 0.500 0.500 0.000
5 Pd 0.151 0.401 0.750
6 Pd 0.223 0.000 0.723
7 Pd 0.223 0.500 0.223
8 Pd 0.777 0.000 0.277
9 Pd 0.777 0.500 0.777
10 Pd 0.849 0.599 0.250

Largest 10 diffraction maxima, by angle, 10° ≤ 2θ ≤ 80°:
| two_theta | Rel. int. |
| --- | --- |
| 15.0 | 36 |
| 29.5 | 59 |
| 30.3 | 96 |
| 36.5 | 100 |
| 38.9 | 76 |
| 39.1 | 46 |
| 40.7 | 25 |
| 44.5 | 17 |
| 51.6 | 21 |
| 56.3 | 37 |

Record 11
Diffraction record for K3AgH8Pd2. The PXRD pattern is computed, not measured: it uses a structure optimized by DFT (PBE) and Cu Kα.
Peak positions follow from Bragg's law for the DFT cell and can differ from measured ones.

Cell and atoms:
a = 5.509 Å, b = 5.509 Å, c = 7.538 Å
α = 90.00°, β = 90.00°, γ = 120.00°
Positions (direct):
1 K 0.000 0.000 0.000
2 K 0.333 0.667 0.745
3 K 0.667 0.333 0.255
4 Ag 0.000 0.000 0.500
5 H 0.150 0.300 0.346
6 H 0.150 0.850 0.346
7 H 0.300 0.150 0.654
8 H 0.333 0.667 0.090
9 H 0.667 0.333 0.910
10 H 0.700 0.850 0.346
11 H 0.850 0.150 0.654
12 H 0.850 0.700 0.654
13 Pd 0.333 0.667 0.310
14 Pd 0.667 0.333 0.690

Largest 10 diffraction maxima, by angle, 10° ≤ 2θ ≤ 80°:
| two_theta | Rel. int. |
| --- | --- |
| 11.7 | 42 |
| 22.0 | 30 |
| 30.2 | 100 |
| 32.5 | 94 |
| 34.7 | 17 |
| 40.6 | 18 |
| 45.0 | 32 |
| 52.2 | 17 |
| 56.6 | 31 |
| 58.0 | 16 |

Record 12
Diffraction record for YGa6. The PXRD pattern is computed, not measured: it uses a structure optimized by DFT (PBE) and Cu Kα.
Peak positions follow from Bragg's law for the DFT cell and can differ from measured ones.

Cell and atoms:
a = 5.995 Å, b = 5.995 Å, c = 7.577 Å
α = 90.00°, β = 90.00°, γ = 90.00°
Positions (direct):
1 Y 0.250 0.750 0.000
2 Y 0.750 0.250 0.000
3 Ga 0.073 0.573 0.353
4 Ga 0.073 0.927 0.647
5 Ga 0.250 0.250 0.163
6 Ga 0.250 0.250 0.837
7 Ga 0.427 0.573 0.647
8 Ga 0.427 0.927 0.353
9 Ga 0.573 0.073 0.647
10 Ga 0.573 0.427 0.353
11 Ga 0.750 0.750 0.163
12 Ga 0.750 0.750 0.837
13 Ga 0.927 0.073 0.353
14 Ga 0.927 0.427 0.647

Largest 10 diffraction maxima, by angle, 10° ≤ 2θ ≤ 80°:
| two_theta | Rel. int. |
| --- | --- |
| 31.7 | 28 |
| 32.1 | 100 |
| 35.5 | 68 |
| 41.3 | 54 |
| 41.6 | 54 |
| 42.7 | 36 |
| 47.0 | 22 |
| 54.1 | 22 |
| 70.2 | 31 |
| 77.4 | 27 |

Record 13
Diffraction record for Nd6DyEr6. The PXRD pattern is computed, not measured: it uses a structure optimized by DFT (PBE) and Cu Kα.
Peak positions follow from Bragg's law for the DFT cell and can differ from measured ones.

Cell and atoms:
a = 6.590 Å, b = 11.131 Å, c = 6.634 Å
α = 90.00°, β = 115.02°, γ = 90.00°
Positions (direct):
1 Nd 0.000 0.174 0.000
2 Nd 0.000 0.826 0.000
3 Nd 0.271 0.000 0.745
4 Nd 0.330 0.500 0.611
5 Nd 0.670 0.500 0.389
6 Nd 0.729 0.000 0.255
7 Dy 0.000 0.500 0.000
8 Er 0.000 0.267 0.500
9 Er 0.000 0.733 0.500
10 Er 0.500 0.197 0.500
11 Er 0.500 0.286 0.000
12 Er 0.500 0.714 0.000
13 Er 0.500 0.803 0.500

Largest 10 diffraction maxima, by angle, 10° ≤ 2θ ≤ 80°:
| two_theta | Rel. int. |
| --- | --- |
| 28.9 | 100 |
| 29.7 | 42 |
| 29.9 | 77 |
| 32.1 | 86 |
| 33.9 | 52 |
| 34.1 | 72 |
| 35.0 | 39 |
| 36.0 | 45 |
| 51.5 | 24 |
| 55.9 | 32 |